Structure and simulated powder diffractogram of TiV3O8 (a GGA+U-relaxed structure; Cu Kα, 1.54184 Å).
Kinematic intensities with the Lorentz-polarization factor, no thermal factor.

Top 10 peaks for 15 to 90 degrees two-theta, by angle:
- hkl 2 0 0, 2θ 15.0, d = 5.888 Å, rel. 326
- hkl 1 1 0, 2θ 24.9, d = 3.582 Å, rel. 1000
- hkl 0 0 2, 2θ 28.5, d = 3.137 Å, rel. 545
- hkl 4 0 -1, 2θ 29.6, d = 3.020 Å, rel. 320
- hkl 3 1 0, 2θ 33.0, d = 2.715 Å, rel. 189
- hkl 3 1 -1, 2θ 33.2, d = 2.695 Å, rel. 211
- hkl 0 0 3, 2θ 43.3, d = 2.091 Å, rel. 282
- hkl 6 0 -1, 2θ 44.2, d = 2.049 Å, rel. 302
- hkl 0 2 0, 2θ 48.4, d = 1.880 Å, rel. 380
- hkl 7 1 -1, 2θ 58.0, d = 1.591 Å, rel. 234

Structural model:
Unit cell a=12.2954 b=3.7598 c=6.5507 alpha=90.00 beta=106.71 gamma=90.00
Space group Cm (No. 8)
Unique sites:
Ti 0.0000 0.0000 0.0000 x2
V 0.1092 0.5000 0.4483 x2
V 0.2067 0.5000 0.0280 x2
V 0.4080 0.5000 0.4220 x2
O 0.0451 0.5000 0.0645 x2
O 0.0668 0.0000 0.3718 x2
O 0.1760 0.5000 0.7155 x2
O 0.1770 0.0000 0.0175 x2
O 0.2519 0.5000 0.3459 x2
O 0.3663 0.5000 0.0874 x2
O 0.4436 0.5000 0.7222 x2
O 0.4495 0.0000 0.4313 x2